This entry pairs a crystal structure of RbSrH6Au3 with its calculated PXRD pattern. Radiation: λ = 1.5418 Å (Cu Kα). Structure: a PBE-relaxed structure.

Atomic structure:
Lattice parameters (Å, degrees): 6.4381 6.4381 6.4381 68.53 68.53 68.53
Atoms (fractional coordinates):
Rb 0.0000 0.0000 0.0000
Sr 0.5491 0.5491 0.5491
H 0.1319 0.8187 0.5802
H 0.3924 0.5843 0.9554
H 0.5802 0.1319 0.8187
H 0.5843 0.9554 0.3924
H 0.8187 0.5802 0.1319
H 0.9554 0.3924 0.5843
Au 0.0305 0.6107 0.5904
Au 0.5904 0.0305 0.6107
Au 0.6107 0.5904 0.0305

Top 10 peaks for 2θ = 10–90°, low angle first:
2θ/deg	d_spacing	I (rel.)
15.4	5.772	73
18.1	4.892	70
28.2	3.168	25
29.1	3.070	72
30.7	2.912	24
31.0	2.886	100
37.7	2.385	45
39.9	2.258	23
47.2	1.924	26
50.3	1.812	21



This entry pairs a crystal structure of ZnHRhAu2 with its calculated PXRD pattern. Radiation: λ = 1.5418 Å (Cu Kα). Structure: a PBE-relaxed structure.

Atomic structure:
Lattice parameters (Å, degrees): 4.2607 4.2607 3.7339 90.00 90.00 90.00
Atoms (fractional coordinates):
Zn 0.0000 0.0000 0.0000
H 0.5000 0.5000 0.5000
Rh 0.5000 0.5000 0.0000
Au 0.0000 0.5000 0.5000
Au 0.5000 0.0000 0.5000

Top 10 peaks for 2θ = 10–90°, low angle first:
2θ/deg	d_spacing	I (rel.)
23.8	3.734	12
29.7	3.013	14
38.4	2.345	100
42.4	2.130	38
48.8	1.867	13
61.6	1.506	13
66.6	1.404	20
74.9	1.267	28
82.2	1.172	11
84.2	1.150	11



This entry pairs a crystal structure of HRu2Au2 with its calculated PXRD pattern. Radiation: λ = 1.5418 Å (Cu Kα). Structure: a PBE-relaxed structure.

Atomic structure:
Lattice parameters (Å, degrees): 5.3378 5.3378 4.8850 90.00 90.00 90.00
Atoms (fractional coordinates):
H 0.0000 0.0000 0.0000
H 0.5000 0.5000 0.0000
Ru 0.1652 0.3348 0.0000
Ru 0.3348 0.8348 0.0000
Ru 0.6652 0.1652 0.0000
Ru 0.8348 0.6652 0.0000
Au 0.1781 0.6781 0.5000
Au 0.3219 0.1781 0.5000
Au 0.6781 0.8219 0.5000
Au 0.8219 0.3219 0.5000

Top 10 peaks for 2θ = 10–90°, low angle first:
2θ/deg	d_spacing	I (rel.)
18.2	4.885	17
23.6	3.774	10
33.6	2.669	29
36.8	2.442	35
42.1	2.145	100
50.7	1.802	18
67.4	1.389	11
69.9	1.345	22
76.1	1.251	23
87.1	1.118	12



This entry pairs a crystal structure of SbHAu with its calculated PXRD pattern. Radiation: λ = 1.5418 Å (Cu Kα). Structure: a PBE-relaxed structure.

Atomic structure:
Lattice parameters (Å, degrees): 5.5177 3.5823 5.7095 90.00 114.50 90.00
Atoms (fractional coordinates):
Sb 0.1782 0.2500 0.3464
Sb 0.8218 0.7500 0.6536
H 0.0962 0.7500 0.1838
H 0.9038 0.2500 0.8162
Au 0.3851 0.7500 0.7901
Au 0.6149 0.2500 0.2099

Top 10 peaks for 2θ = 10–90°, low angle first:
2θ/deg	d_spacing	I (rel.)
17.7	5.021	18
18.8	4.718	19
30.3	2.949	100
32.5	2.751	50
34.5	2.598	20
38.9	2.316	24
40.6	2.224	22
44.0	2.056	36
46.1	1.970	31
61.8	1.501	16